For FeSi17Ge13P, the PBE geometry in OQMD gives the theoretical PXRD pattern in this record (Cu Kα).

Atomic structure:
```
data_FeSi17Ge13P
_cell_length_a 6.8213
_cell_length_b 10.3370
_cell_length_c 10.3425
_cell_angle_alpha 81.74
_cell_angle_beta 83.63
_cell_angle_gamma 71.07
_symmetry_space_group_name_H-M 'P 1'
_symmetry_Int_Tables_number 1
_symmetry_space_group_name_Hall 'P 1'
loop_
_atom_site_label
_atom_site_fract_x
_atom_site_fract_y
_atom_site_fract_z
_atom_site_occupancy
Fe1 0.0000 0.0000 0.0000 1
Si1 0.3494 0.5482 0.1047 1
Si2 0.3515 0.1746 0.2218 1
Si3 0.3565 0.0448 0.6024 1
Si4 0.3575 0.4236 0.4787 1
Si5 0.4788 0.4387 0.6789 1
Si6 0.4841 0.3159 0.0593 1
Si7 0.4857 0.8175 0.5513 1
Si8 0.4884 0.9428 0.1728 1
Si9 0.8520 0.2199 0.0454 1
Si10 0.8533 0.7442 0.5355 1
Si11 0.8583 0.1115 0.4095 1
Si12 0.8607 0.8713 0.1538 1
Si13 0.8619 0.4850 0.2832 1
Si14 0.9746 0.8821 0.3615 1
Si15 0.9791 0.7538 0.7380 1
Si16 0.9830 0.2504 0.2395 1
Si17 0.9826 0.6328 0.1203 1
Ge1 0.3532 0.6767 0.7224 1
Ge2 0.3527 0.8052 0.3477 1
Ge3 0.3559 0.2997 0.8565 1
Ge4 0.4766 0.6934 0.9349 1
Ge5 0.4814 0.0585 0.8090 1
Ge6 0.4821 0.1879 0.4285 1
Ge7 0.4869 0.5620 0.3045 1
Ge8 0.8523 0.3627 0.6632 1
Ge9 0.8605 0.6143 0.9164 1
Ge10 0.8668 0.9814 0.8093 1
Ge11 0.9737 0.3703 0.8760 1
Ge12 0.9815 0.1221 0.6166 1
Ge13 0.9833 0.5074 0.4875 1
P1 0.3419 0.9280 0.9858 1
```

Main lines, most intense first (2θ from 15° to 90°):
2θ/deg  d_spacing  I/Imax  h k l
27.94  3.194  100  0 3 1
46.48  1.954  46  1 4 4
27.72  3.219  33  2 0 0
46.16  1.966  32  -2 3 1
55.08  1.667  23  0 2 6
54.95  1.671  18  3 4 4
46.25  1.963  16  3 2 -2
54.70  1.678  10  3 -2 2
86.16  1.129  10  2 9 3
67.58  1.386  10  4 6 2